Structure and computed X-ray diffraction stick pattern of Tl2Ag3Br5 (a crystal structure in Alexandria, relaxed with PBE; CuKα).

Structure:
Cell lengths 14.9924, 4.4392, 10.8929 Å; angles 90.00, 122.87, 90.00 degrees
Space group C2/m (No. 12)
Symmetry-distinct sites (fractional):
Tl 0.1689 0.0000 0.2659 x4
Ag 0.0000 0.0000 0.5000 x2
Ag 0.1077 0.5000 0.8640 x4
Br 0.0000 0.5000 0.0000 x2
Br 0.0925 0.5000 0.4242 x4
Br 0.1828 0.0000 0.8055 x4

The 8 most intense peaks (15 to 90 degrees two-theta), in order of rising 2θ:
| index | d/Å | 2theta | I_rel |
| --- | --- | --- | --- |
| 1 1 1 | 3.571 | 24.9 | 33 |
| 3 1 -2 | 3.182 | 28.0 | 100 |
| 2 0 2 | 3.005 | 29.7 | 52 |
| 6 0 -4 | 2.282 | 39.5 | 21 |
| 0 2 0 | 2.220 | 40.6 | 29 |
| 5 1 0 | 2.190 | 41.2 | 25 |
| 1 1 -4 | 2.179 | 41.4 | 26 |
| 2 2 2 | 1.785 | 51.2 | 22 |